Structure and simulated powder XRD pattern of Pm4YEr7 (a DFT-relaxed cell (PBE, Alexandria); Cu Kα, 1.54184 Å).
Kinematic intensities with the Lorentz-polarization factor, no thermal factor.

Cell and atoms:
Cell lengths 6.5410, 6.8195, 9.0188 Å; angles 84.92, 77.22, 81.57 degrees
Element x y z (fractional)
Pm (0.1362, 0.3066, 0.2863)
Pm (0.3383, 0.8848, 0.6918)
Pm (0.6617, 0.1152, 0.3082)
Pm (0.8638, 0.6934, 0.7137)
Y (0.5000, 0.5000, 0.0000)
Er (0.0131, 0.2520, 0.9509)
Er (0.1821, 0.7977, 0.3562)
Er (0.3128, 0.3942, 0.6171)
Er (0.5000, 0.0000, 0.0000)
Er (0.6872, 0.6058, 0.3829)
Er (0.8179, 0.2023, 0.6438)
Er (0.9869, 0.7480, 0.0491)

Main lines, in order of rising 2θ (2θ = 5–70°):
- 2θ 30.54, intensity 36
- 2θ 31.17, intensity 39
- 2θ 31.69, intensity 100
- 2θ 31.93, intensity 13
- 2θ 32.05, intensity 52
- 2θ 32.24, intensity 34
- 2θ 32.63, intensity 19
- 2θ 43.52, intensity 13
- 2θ 46.53, intensity 13
- 2θ 56.92, intensity 27



Structure and simulated powder XRD pattern of Pm3Y4Er4 (a DFT-relaxed cell (PBE, Alexandria); Cu Kα, 1.54184 Å).
Kinematic intensities with the Lorentz-polarization factor, no thermal factor.

Cell and atoms:
Cell lengths 3.4893, 5.6648, 18.2553 Å; angles 98.92, 95.47, 90.00 degrees
Element x y z (fractional)
Pm (0.0000, 0.0000, 0.0000)
Pm (0.1364, 0.6370, 0.2734)
Pm (0.8636, 0.3630, 0.7266)
Y (0.2665, 0.2667, 0.5334)
Y (0.4089, 0.9085, 0.8186)
Y (0.5911, 0.0915, 0.1814)
Y (0.7335, 0.7333, 0.4666)
Er (0.3192, 0.8185, 0.6375)
Er (0.4551, 0.4539, 0.9090)
Er (0.5449, 0.5461, 0.0910)
Er (0.6808, 0.1815, 0.3625)

Main lines, in order of rising 2θ (2θ = 5–70°):
- 2θ 30.50, intensity 13
- 2θ 31.00, intensity 24
- 2θ 31.62, intensity 100
- 2θ 31.73, intensity 51
- 2θ 44.84, intensity 17
- 2θ 55.51, intensity 10
- 2θ 56.28, intensity 13
- 2θ 56.36, intensity 16
- 2θ 56.86, intensity 10
- 2θ 62.55, intensity 28



Structure and simulated powder XRD pattern of Pm9YEr2 (a DFT-relaxed cell (PBE, Alexandria); Cu Kα, 1.54184 Å).
Kinematic intensities with the Lorentz-polarization factor, no thermal factor.

Cell and atoms:
Cell lengths 5.1238, 5.1238, 15.3713 Å; angles 90.00, 90.00, 90.00 degrees
Element x y z (fractional)
Pm (0.0000, 0.0000, 0.0000)
Pm (0.0000, 0.0000, 0.3341)
Pm (0.0000, 0.0000, 0.6659)
Pm (0.0000, 0.5000, 0.1678)
Pm (0.0000, 0.5000, 0.5000)
Pm (0.0000, 0.5000, 0.8322)
Pm (0.5000, 0.0000, 0.1678)
Pm (0.5000, 0.0000, 0.5000)
Pm (0.5000, 0.0000, 0.8322)
Y (0.5000, 0.5000, 0.0000)
Er (0.5000, 0.5000, 0.3338)
Er (0.5000, 0.5000, 0.6662)

Main lines, in order of rising 2θ (2θ = 5–70°):
- 2θ 5.75, intensity 2
- 2θ 18.25, intensity 1
- 2θ 30.21, intensity 100
- 2θ 35.03, intensity 51
- 2θ 50.37, intensity 36
- 2θ 59.87, intensity 43
- 2θ 62.83, intensity 12



Structure and simulated powder XRD pattern of Pm7Y3Er (a DFT-relaxed cell (PBE, Alexandria); Cu Kα, 1.54184 Å).
Kinematic intensities with the Lorentz-polarization factor, no thermal factor.

Cell and atoms:
Cell lengths 10.2517, 10.2517, 12.5600 Å; angles 114.16, 114.16, 41.18 degrees
Element x y z (fractional)
Pm (0.0789, 0.5856, 0.9716)
Pm (0.0811, 0.5827, 0.4708)
Pm (0.2209, 0.7791, 0.7500)
Pm (0.3365, 0.3429, 0.2243)
Pm (0.3429, 0.3365, 0.7243)
Pm (0.4144, 0.9211, 0.5284)
Pm (0.4173, 0.9189, 0.0292)
Pm (0.5827, 0.0811, 0.9708)
Pm (0.5856, 0.0789, 0.4716)
Pm (0.6571, 0.6635, 0.2757)
Pm (0.6635, 0.6571, 0.7757)
Pm (0.7791, 0.2209, 0.2500)
Pm (0.9189, 0.4173, 0.5292)
Pm (0.9211, 0.4144, 0.0284)
Y (0.1685, 0.1693, 0.2745)
Y (0.1693, 0.1685, 0.7745)
Y (0.5000, 0.5000, 0.0000)
Y (0.5000, 0.5000, 0.5000)
Y (0.8307, 0.8315, 0.2255)
Y (0.8315, 0.8307, 0.7255)
Er (0.0000, 0.0000, 0.0000)
Er (0.0000, 0.0000, 0.5000)

Main lines, in order of rising 2θ (2θ = 5–70°):
- 2θ 28.76, intensity 19
- 2θ 29.39, intensity 20
- 2θ 31.09, intensity 52
- 2θ 31.74, intensity 100
- 2θ 33.36, intensity 30
- 2θ 33.49, intensity 56
- 2θ 50.41, intensity 27
- 2θ 54.61, intensity 22
- 2θ 60.39, intensity 15
- 2θ 60.63, intensity 20



Structure and simulated powder XRD pattern of PmY8Er6 (a DFT-relaxed cell (PBE, Alexandria); Cu Kα, 1.54184 Å).
Kinematic intensities with the Lorentz-polarization factor, no thermal factor.

Cell and atoms:
Cell lengths 8.6224, 8.6224, 8.6224 Å; angles 63.07, 63.07, 63.07 degrees
Element x y z (fractional)
Pm (0.0000, 0.0000, 0.0000)
Y (0.1102, 0.7193, 0.7458)
Y (0.2542, 0.8898, 0.2807)
Y (0.2807, 0.2542, 0.8898)
Y (0.4232, 0.4232, 0.4232)
Y (0.5768, 0.5768, 0.5768)
Y (0.7193, 0.7458, 0.1102)
Y (0.7458, 0.1102, 0.7193)
Y (0.8898, 0.2807, 0.2542)
Er (0.1096, 0.5390, 0.2307)
Er (0.2307, 0.1096, 0.5390)
Er (0.4610, 0.7693, 0.8904)
Er (0.5390, 0.2307, 0.1096)
Er (0.7693, 0.8904, 0.4610)
Er (0.8904, 0.4610, 0.7693)

Main lines, in order of rising 2θ (2θ = 5–70°):
- 2θ 12.88, intensity 9
- 2θ 30.59, intensity 24
- 2θ 31.53, intensity 100
- 2θ 32.49, intensity 29
- 2θ 32.77, intensity 10
- 2θ 35.03, intensity 15
- 2θ 36.92, intensity 13
- 2θ 53.27, intensity 13
- 2θ 54.24, intensity 10
- 2θ 55.55, intensity 13



Structure and simulated powder XRD pattern of Pm2Y3Er2 (a DFT-relaxed cell (PBE, Alexandria); Cu Kα, 1.54184 Å).
Kinematic intensities with the Lorentz-polarization factor, no thermal factor.

Cell and atoms:
Cell lengths 8.4590, 8.4590, 8.4590 Å; angles 109.47, 109.47, 109.47 degrees
Element x y z (fractional)
Pm (0.0000, 0.8096, 0.5000)
Pm (0.5000, 0.0000, 0.8096)
Pm (0.6904, 0.6904, 0.6904)
Pm (0.8096, 0.5000, 0.0000)
Y (0.1908, 0.7500, 0.9408)
Y (0.2500, 0.5592, 0.3092)
Y (0.3092, 0.2500, 0.5592)
Y (0.5592, 0.3092, 0.2500)
Y (0.7500, 0.9408, 0.1908)
Y (0.9408, 0.1908, 0.7500)
Er (0.0000, 0.4109, 0.5000)
Er (0.0891, 0.0891, 0.0891)
Er (0.4109, 0.5000, 0.0000)
Er (0.5000, 0.0000, 0.4109)

Main lines, in order of rising 2θ (2θ = 5–70°):
- 2θ 22.29, intensity 19
- 2θ 25.80, intensity 18
- 2θ 28.91, intensity 100
- 2θ 31.73, intensity 38
- 2θ 34.35, intensity 98
- 2θ 39.13, intensity 17
- 2θ 45.49, intensity 16
- 2θ 47.46, intensity 42
- 2θ 58.23, intensity 39
- 2θ 61.53, intensity 22



Structure and simulated powder XRD pattern of Pm4Y7Er (a DFT-relaxed cell (PBE, Alexandria); Cu Kα, 1.54184 Å).
Kinematic intensities with the Lorentz-polarization factor, no thermal factor.

Cell and atoms:
Cell lengths 6.5747, 6.8648, 9.1303 Å; angles 85.51, 77.21, 81.90 degrees
Element x y z (fractional)
Pm (0.1414, 0.3154, 0.2829)
Pm (0.3389, 0.8802, 0.6943)
Pm (0.6611, 0.1198, 0.3057)
Pm (0.8586, 0.6846, 0.7171)
Y (0.0088, 0.2527, 0.9521)
Y (0.1771, 0.8078, 0.3611)
Y (0.3146, 0.3911, 0.6193)
Y (0.5000, 0.0000, 0.0000)
Y (0.6854, 0.6089, 0.3807)
Y (0.8229, 0.1922, 0.6389)
Y (0.9912, 0.7473, 0.0479)
Er (0.5000, 0.5000, 0.0000)

Main lines, in order of rising 2θ (2θ = 5–70°):
- 2θ 30.15, intensity 36
- 2θ 30.89, intensity 39
- 2θ 31.40, intensity 100
- 2θ 31.83, intensity 61
- 2θ 32.12, intensity 35
- 2θ 32.37, intensity 17
- 2θ 42.82, intensity 11
- 2θ 45.34, intensity 13
- 2θ 46.37, intensity 13
- 2θ 56.46, intensity 18



Structure and simulated powder XRD pattern of Pm3Y5Er2 (a DFT-relaxed cell (PBE, Alexandria); Cu Kα, 1.54184 Å).
Kinematic intensities with the Lorentz-polarization factor, no thermal factor.

Cell and atoms:
Cell lengths 10.9954, 10.9954, 10.9954 Å; angles 112.85, 77.35, 146.18 degrees
Element x y z (fractional)
Pm (0.1686, 0.5835, 0.7521)
Pm (0.2500, 0.2500, 0.0000)
Pm (0.3314, 0.0835, 0.4148)
Pm (0.6686, 0.9165, 0.5852)
Pm (0.7500, 0.7500, 0.0000)
Pm (0.8314, 0.4165, 0.2479)
Y (0.1720, 0.2415, 0.4136)
Y (0.2500, 0.5016, 0.2516)
Y (0.2500, 0.7500, 0.5000)
Y (0.2500, 0.9984, 0.7484)
Y (0.3280, 0.7415, 0.0695)
Y (0.6720, 0.2585, 0.9305)
Y (0.7500, 0.0016, 0.2516)
Y (0.7500, 0.2500, 0.5000)
Y (0.7500, 0.4984, 0.7484)
Y (0.8280, 0.7585, 0.5864)
Er (0.1661, 0.9087, 0.0748)
Er (0.3339, 0.4087, 0.7427)
Er (0.6661, 0.5913, 0.2573)
Er (0.8339, 0.0913, 0.9252)

Main lines, in order of rising 2θ (2θ = 5–70°):
- 2θ 28.05, intensity 100
- 2θ 29.81, intensity 64
- 2θ 31.25, intensity 81
- 2θ 33.48, intensity 67
- 2θ 34.99, intensity 37
- 2θ 36.20, intensity 16
- 2θ 49.45, intensity 21
- 2θ 50.17, intensity 18
- 2θ 53.01, intensity 19
- 2θ 67.03, intensity 18



Structure and simulated powder XRD pattern of Pm7Y2Er4 (a DFT-relaxed cell (PBE, Alexandria); Cu Kα, 1.54184 Å).
Kinematic intensities with the Lorentz-polarization factor, no thermal factor.

Cell and atoms:
Cell lengths 6.1663, 6.1663, 13.1491 Å; angles 90.00, 90.00, 120.00 degrees
Element x y z (fractional)
Pm (0.0000, 0.0000, 0.0000)
Pm (0.0000, 0.3719, 0.2236)
Pm (0.0000, 0.6281, 0.7764)
Pm (0.3719, 0.0000, 0.2236)
Pm (0.3719, 0.3719, 0.7764)
Pm (0.6281, 0.0000, 0.7764)
Pm (0.6281, 0.6281, 0.2236)
Y (0.3333, 0.6667, 0.0000)
Y (0.6667, 0.3333, 0.0000)
Er (0.0000, 0.0000, 0.3923)
Er (0.0000, 0.0000, 0.6077)
Er (0.3333, 0.6667, 0.5000)
Er (0.6667, 0.3333, 0.5000)

Main lines, in order of rising 2θ (2θ = 5–70°):
- 2θ 26.31, intensity 19
- 2θ 27.13, intensity 18
- 2θ 28.96, intensity 13
- 2θ 29.76, intensity 47
- 2θ 32.05, intensity 100
- 2θ 35.60, intensity 25
- 2θ 48.59, intensity 11
- 2θ 51.14, intensity 14
- 2θ 51.33, intensity 25
- 2θ 61.81, intensity 11



Structure and simulated powder XRD pattern of Pm5Y2Er3 (a DFT-relaxed cell (PBE, Alexandria); Cu Kα, 1.54184 Å).
Kinematic intensities with the Lorentz-polarization factor, no thermal factor.

Cell and atoms:
Cell lengths 9.9320, 9.9320, 9.9320 Å; angles 123.48, 93.29, 113.02 degrees
Element x y z (fractional)
Pm (0.0016, 0.7500, 0.2516)
Pm (0.1265, 0.0982, 0.2247)
Pm (0.2500, 0.2500, 0.0000)
Pm (0.3735, 0.5982, 0.9717)
Pm (0.4984, 0.7500, 0.7484)
Pm (0.5016, 0.2500, 0.2516)
Pm (0.6265, 0.4018, 0.0283)
Pm (0.7500, 0.7500, 0.0000)
Pm (0.8735, 0.9018, 0.7753)
Pm (0.9984, 0.2500, 0.7484)
Y (0.1227, 0.4068, 0.5295)
Y (0.3773, 0.9068, 0.2842)
Y (0.6227, 0.0932, 0.7158)
Y (0.8773, 0.5932, 0.4705)
Er (0.1235, 0.7482, 0.8716)
Er (0.2500, 0.7500, 0.5000)
Er (0.3765, 0.2482, 0.6247)
Er (0.6235, 0.7518, 0.3753)
Er (0.7500, 0.2500, 0.5000)
Er (0.8765, 0.2518, 0.1284)

Main lines, in order of rising 2θ (2θ = 5–70°):
- 2θ 18.87, intensity 17
- 2θ 24.95, intensity 51
- 2θ 30.89, intensity 100
- 2θ 32.46, intensity 81
- 2θ 32.68, intensity 43
- 2θ 40.14, intensity 31
- 2θ 46.71, intensity 19
- 2θ 50.28, intensity 16
- 2θ 53.80, intensity 17
- 2θ 57.21, intensity 17



Structure and simulated powder XRD pattern of Pm4Y2Er3 (a DFT-relaxed cell (PBE, Alexandria); Cu Kα, 1.54184 Å).
Kinematic intensities with the Lorentz-polarization factor, no thermal factor.

Cell and atoms:
Cell lengths 9.7956, 9.7956, 7.0518 Å; angles 90.00, 90.00, 119.90 degrees
Element x y z (fractional)
Pm (0.0272, 0.6788, 0.0000)
Pm (0.3177, 0.3530, 0.0000)
Pm (0.3212, 0.9728, 0.5000)
Pm (0.3530, 0.3177, 0.5000)
Pm (0.6470, 0.6823, 0.5000)
Pm (0.6788, 0.0272, 0.5000)
Pm (0.6823, 0.6470, 0.0000)
Pm (0.9728, 0.3212, 0.0000)
Y (0.0299, 0.3478, 0.5000)
Y (0.3478, 0.0299, 0.0000)
Y (0.6522, 0.9701, 0.0000)
Y (0.9701, 0.6522, 0.5000)
Er (0.0000, 0.0000, 0.2500)
Er (0.0000, 0.0000, 0.7500)
Er (0.3297, 0.6703, 0.2500)
Er (0.3297, 0.6703, 0.7500)
Er (0.6703, 0.3297, 0.2500)
Er (0.6703, 0.3297, 0.7500)

Main lines, in order of rising 2θ (2θ = 5–70°):
- 2θ 30.62, intensity 11
- 2θ 31.25, intensity 100
- 2θ 31.62, intensity 92
- 2θ 40.42, intensity 5
- 2θ 45.06, intensity 34
- 2θ 51.86, intensity 9
- 2θ 56.09, intensity 33
- 2θ 56.32, intensity 14
- 2θ 62.03, intensity 27
- 2θ 66.01, intensity 6



Structure and simulated powder XRD pattern of Pm16Y6Er7 (a DFT-relaxed cell (PBE, Alexandria); Cu Kα, 1.54184 Å).
Kinematic intensities with the Lorentz-polarization factor, no thermal factor.

Cell and atoms:
Cell lengths 11.2480, 11.2480, 11.2480 Å; angles 60.00, 60.00, 60.00 degrees
Element x y z (fractional)
Pm (0.0468, 0.6511, 0.6511)
Pm (0.1238, 0.1238, 0.1238)
Pm (0.1238, 0.1238, 0.6287)
Pm (0.1238, 0.6287, 0.1238)
Pm (0.3489, 0.3489, 0.3489)
Pm (0.3489, 0.3489, 0.9532)
Pm (0.3489, 0.9532, 0.3489)
Pm (0.3713, 0.8762, 0.8762)
Pm (0.6287, 0.1238, 0.1238)
Pm (0.6511, 0.0468, 0.6511)
Pm (0.6511, 0.6511, 0.0468)
Pm (0.6511, 0.6511, 0.6511)
Pm (0.8762, 0.3713, 0.8762)
Pm (0.8762, 0.8762, 0.3713)
Pm (0.8762, 0.8762, 0.8762)
Pm (0.9532, 0.3489, 0.3489)
Y (0.2732, 0.2732, 0.7268)
Y (0.2732, 0.7268, 0.2732)
Y (0.2732, 0.7268, 0.7268)
Y (0.7268, 0.2732, 0.2732)
Y (0.7268, 0.2732, 0.7268)
Y (0.7268, 0.7268, 0.2732)
Er (0.0000, 0.0000, 0.0000)
Er (0.0000, 0.0000, 0.5000)
Er (0.0000, 0.5000, 0.0000)
Er (0.0000, 0.5000, 0.5000)
Er (0.5000, 0.0000, 0.0000)
Er (0.5000, 0.0000, 0.5000)
Er (0.5000, 0.5000, 0.0000)

Main lines, in order of rising 2θ (2θ = 5–70°):
- 2θ 9.63, intensity 6
- 2θ 19.33, intensity 6
- 2θ 29.17, intensity 11
- 2θ 31.82, intensity 100
- 2θ 33.32, intensity 8
- 2θ 37.50, intensity 6
- 2θ 43.71, intensity 6
- 2θ 45.62, intensity 14
- 2θ 56.70, intensity 26
- 2θ 66.50, intensity 7